This entry pairs a crystal structure of Mg5Ir3 with its simulated PXRD pattern. Radiation: CuKα. Structure: the GGA-PBE geometry in Alexandria.
Kinematic intensities with the Lorentz-polarization factor, no thermal factor.

Unit cell a=5.5020 b=10.7622 c=4.3926 alpha=90.00 beta=90.00 gamma=90.00
Space group Pbam (No. 55)
One atom of each set of equivalent atoms:
1 Mg 0.0000 0.0000 0.0000 (multiplicity 2)
2 Mg 0.1129 0.2631 0.0000 (multiplicity 4)
3 Mg 0.1700 0.6086 0.5000 (multiplicity 4)
4 Ir 0.0000 0.5000 0.0000 (multiplicity 2)
5 Ir 0.1663 0.8654 0.5000 (multiplicity 4)

Most intense lines, 10° ≤ 2θ ≤ 90°, low angle first:
h k l  d/Å  intensity
1 2 0  3.847  69
1 1 1  3.270  84
1 3 0  3.005  40
1 2 1  2.894  62
2 0 1  2.332  44
0 4 1  2.294  100
2 1 1  2.279  45
0 0 2  2.196  46



This entry pairs a crystal structure of AlZn3Ni12 with its simulated PXRD pattern. Radiation: CuKα. Structure: the GGA-PBE geometry in Alexandria.
Kinematic intensities with the Lorentz-polarization factor, no thermal factor.

Unit cell a=3.5723 b=3.5723 c=14.3167 alpha=90.00 beta=90.00 gamma=90.00
Space group P4/mmm (No. 123)
One atom of each set of equivalent atoms:
1 Al 0.0000 0.0000 0.0000 (multiplicity 1)
2 Zn 0.0000 0.0000 0.2498 (multiplicity 2)
3 Zn 0.0000 0.0000 0.5000 (multiplicity 1)
4 Ni 0.0000 0.5000 0.1240 (multiplicity 4)
5 Ni 0.0000 0.5000 0.3749 (multiplicity 4)
6 Ni 0.5000 0.5000 0.0000 (multiplicity 1)
7 Ni 0.5000 0.5000 0.2494 (multiplicity 2)
8 Ni 0.5000 0.5000 0.5000 (multiplicity 1)

Most intense lines, 10° ≤ 2θ ≤ 90°, low angle first:
h k l  d/Å  intensity
0 0 2  7.158  1
1 0 1  3.466  1
1 0 2  3.196  1
0 0 5  2.861  1
1 1 4  2.064  100
0 0 8  1.790  16
2 0 0  1.786  31
2 2 0  1.264  27